Starting from DFT lattice parameters and positions (GGA-PBE), the powder diffractogram of MgBe4Cu was calculated for Cu Ka.
Peak positions follow from Bragg's law for the DFT cell and can differ from measured ones.

Main lines, by angle (15° ≤ 2θ ≤ 90°):
d = 3.607 Å, 2θ 24.68, intensity 100; d = 3.124 Å, 2θ 28.58, intensity 25; d = 2.209 Å, 2θ 40.85, intensity 91; d = 1.884 Å, 2θ 48.32, intensity 87; d = 1.803 Å, 2θ 50.61, intensity 8; d = 1.562 Å, 2θ 59.15, intensity 8; d = 1.433 Å, 2θ 65.08, intensity 18; d = 1.397 Å, 2θ 66.99, intensity 8; d = 1.275 Å, 2θ 74.39, intensity 27; d = 1.202 Å, 2θ 79.76, intensity 24; d = 1.104 Å, 2θ 88.54, intensity 14

Structural model:
Cell: 4.4176 4.4176 4.4176 Å, 60.00 60.00 60.00°
Fractional coordinates of all 6 atoms:
Mg: 0.0000 0.0000 0.0000
Be: 0.3764 0.3764 0.3764
Be: 0.3764 0.3764 0.8707
Be: 0.3764 0.8707 0.3764
Be: 0.8707 0.3764 0.3764
Cu: 0.7500 0.7500 0.7500

=====

Starting from DFT lattice parameters and positions (GGA-PBE), the powder diffractogram of MgTi2S4 was calculated for Cu Ka.
Peak positions follow from Bragg's law for the DFT cell and can differ from measured ones.

Main lines, by angle (15° ≤ 2θ ≤ 90°):
d = 4.331 Å, 2θ 20.51, intensity 42; d = 4.217 Å, 2θ 21.06, intensity 42; d = 3.011 Å, 2θ 29.67, intensity 22; d = 2.990 Å, 2θ 29.89, intensity 19; d = 2.756 Å, 2θ 32.49, intensity 40; d = 2.701 Å, 2θ 33.16, intensity 37; d = 2.673 Å, 2θ 33.52, intensity 87; d = 2.165 Å, 2θ 41.71, intensity 42; d = 2.132 Å, 2θ 42.40, intensity 68; d = 2.106 Å, 2θ 42.95, intensity 100; d = 1.759 Å, 2θ 51.99, intensity 66; d = 1.728 Å, 2θ 52.99, intensity 32

Structural model:
Cell: 5.9611 3.4561 6.1329 Å, 90.00 91.52 90.00°
Fractional coordinates of all 7 atoms:
Mg: 0.0000 0.0000 0.0000
Ti: 0.0000 0.5000 0.5000
Ti: 0.5000 0.0000 0.0000
S: 0.2386 0.0000 0.6727
S: 0.2667 0.5000 0.1814
S: 0.7333 0.5000 0.8186
S: 0.7614 0.0000 0.3273

=====

Starting from DFT lattice parameters and positions (GGA-PBE), the powder diffractogram of SiO2 was calculated for Cu Ka.
Peak positions follow from Bragg's law for the DFT cell and can differ from measured ones.

Main lines, by angle (15° ≤ 2θ ≤ 90°):
d = 5.407 Å, 2θ 16.40, intensity 100; d = 4.415 Å, 2θ 20.11, intensity 30; d = 3.508 Å, 2θ 25.39, intensity 12; d = 2.943 Å, 2θ 30.37, intensity 28; d = 2.585 Å, 2θ 34.70, intensity 10; d = 2.549 Å, 2θ 35.21, intensity 21; d = 2.207 Å, 2θ 40.88, intensity 11; d = 1.991 Å, 2θ 45.56, intensity 21; d = 1.537 Å, 2θ 60.21, intensity 11; d = 1.500 Å, 2θ 61.87, intensity 8; d = 1.352 Å, 2θ 69.55, intensity 9; d = 1.336 Å, 2θ 70.48, intensity 12

Structural model:
Cell: 10.8134 10.8134 10.8134 Å, 60.00 60.00 60.00°
Fractional coordinates of all 24 atoms:
Si: 0.0604 0.0604 0.0604
Si: 0.0604 0.0604 0.3187
Si: 0.0604 0.3187 0.0604
Si: 0.3187 0.0604 0.0604
Si: 0.6813 0.9396 0.9396
Si: 0.9396 0.6813 0.9396
Si: 0.9396 0.9396 0.6813
Si: 0.9396 0.9396 0.9396
O: 0.0000 0.0000 0.0000
O: 0.0000 0.0000 0.5000
O: 0.0000 0.5000 0.0000
O: 0.0021 0.0021 0.2479
O: 0.0021 0.2479 0.0021
O: 0.0021 0.2479 0.2479
O: 0.2479 0.0021 0.0021
O: 0.2479 0.0021 0.2479
O: 0.2479 0.2479 0.0021
O: 0.5000 0.0000 0.0000
O: 0.7521 0.7521 0.9979
O: 0.7521 0.9979 0.7521
O: 0.7521 0.9979 0.9979
O: 0.9979 0.7521 0.7521
O: 0.9979 0.7521 0.9979
O: 0.9979 0.9979 0.7521

=====

Starting from DFT lattice parameters and positions (GGA-PBE), the powder diffractogram of PbF4 was calculated for Cu Ka.
Peak positions follow from Bragg's law for the DFT cell and can differ from measured ones.

Main lines, by angle (15° ≤ 2θ ≤ 90°):
d = 4.236 Å, 2θ 20.97, intensity 30; d = 3.885 Å, 2θ 22.89, intensity 100; d = 3.091 Å, 2θ 28.88, intensity 27; d = 2.497 Å, 2θ 35.96, intensity 12; d = 2.372 Å, 2θ 37.93, intensity 24; d = 2.186 Å, 2θ 41.30, intensity 20; d = 1.943 Å, 2θ 46.76, intensity 15; d = 1.905 Å, 2θ 47.74, intensity 29; d = 1.747 Å, 2θ 52.36, intensity 11; d = 1.608 Å, 2θ 57.31, intensity 15; d = 1.521 Å, 2θ 60.90, intensity 12; d = 1.281 Å, 2θ 74.03, intensity 9

Structural model:
Cell: 5.2444 5.2444 5.2444 Å, 130.73 130.73 72.24°
Fractional coordinates of all 5 atoms:
Pb: 0.0000 0.0000 0.0000
F: 0.0000 0.5000 0.5000
F: 0.2357 0.2357 0.0000
F: 0.5000 0.0000 0.5000
F: 0.7643 0.7643 0.0000